Simulated powder diffractogram of Al2SO2 for Cu Kα (λ = 1.5418 Å), from a crystal structure in Alexandria, relaxed with GGA-PBE.
Lines closer than 0.1° are merged.

Atomic structure:
Cell: 6.240 3.140 13.317 Å, 90.00 90.00 90.00°
Space group Pnma (No. 62)
Asymmetric unit:
Al 0.058 0.250 0.181 (multiplicity 4)
Al 0.128 0.750 0.387 (multiplicity 4)
S 0.158 0.750 0.575 (multiplicity 4)
O 0.072 0.750 0.247 (multiplicity 4)
O 0.199 0.750 0.876 (multiplicity 4)

Most intense lines, 2θ from 10° to 90°, by angle:
hkl, 2θ/deg, I_rel
1 0 1, 15.7, 87.5
1 0 3, 24.6, 51.4
0 0 4, 26.8, 68.4
2 0 2, 31.7, 54.1
1 1 1, 32.6, 100.0
1 1 2, 34.7, 64.3
1 0 5, 36.7, 81.9
2 1 0, 40.8, 95.3
1 1 4, 42.1, 57.6
1 0 6, 43.3, 47.8
0 2 0, 58.8, 54.1
2 1 6, 58.9, 71.5